[1]
Starting from a cell relaxed with GGA-PBE, the X-ray powder pattern of CaLuRh2 was computed for a wavelength of 1.5418 Å.
No peak broadening, texture or thermal motion is included.

The 7 most intense peaks (10 to 80 degrees two-theta), sorted by position:
22.8 deg, I = 221, hkl 1 1 1; 37.6 deg, I = 1000, hkl 2 2 0; 44.4 deg, I = 121, hkl 3 1 1; 54.2 deg, I = 171, hkl 4 0 0; 59.6 deg, I = 53, hkl 3 3 1; 67.9 deg, I = 344, hkl 4 2 2; 72.6 deg, I = 40, hkl 5 1 1

Crystal structure
```
data_CaLuRh2
_symmetry_space_group_name_H-M 'F m -3 m'
_symmetry_Int_Tables_number 225
_symmetry_space_group_name_Hall '-F 4 2 3'
_cell_length_a 6.7661
_cell_length_b 6.7661
_cell_length_c 6.7661
_cell_angle_alpha 90.00
_cell_angle_beta 90.00
_cell_angle_gamma 90.00
loop_
_atom_site_label
_atom_site_type_symbol
_atom_site_fract_x
_atom_site_fract_y
_atom_site_fract_z
Ca1 Ca 0.0000 0.0000 0.0000
Lu1 Lu 0.0000 0.0000 0.5000
Rh1 Rh 0.2500 0.2500 0.2500
```

***

[2]
Starting from a cell relaxed with GGA-PBE, the X-ray powder pattern of CaLu2S4 was computed for a wavelength of 1.5418 Å.
No peak broadening, texture or thermal motion is included.

The 10 most intense peaks (10 to 80 degrees two-theta), sorted by position:
15.3 deg, I = 850, hkl 1 0 2; 24.8 deg, I = 1000, hkl 2 0 3; 27.1 deg, I = 927, hkl 2 1 0; 27.9 deg, I = 632, hkl 4 0 0; 32.1 deg, I = 535, hkl 3 1 1; 34.3 deg, I = 595, hkl 3 1 2; 42.3 deg, I = 432, hkl 4 1 3; 42.6 deg, I = 542, hkl 1 1 5; 47.4 deg, I = 509, hkl 0 2 0; 47.6 deg, I = 379, hkl 6 0 3

Crystal structure
```
data_CaLu2S4
_symmetry_space_group_name_H-M 'P n m a'
_symmetry_Int_Tables_number 62
_cell_length_a 12.7906
_cell_length_b 3.8360
_cell_length_c 12.9878
_cell_angle_alpha 90.00
_cell_angle_beta 90.00
_cell_angle_gamma 90.00
loop_
_symmetry_equiv_pos_as_xyz
'x,y,z'
'-x,-y,-z'
'-x+1/2,-y,z+1/2'
'x+1/2,y,-z+1/2'
'x+1/2,-y+1/2,-z+1/2'
'-x+1/2,y+1/2,z+1/2'
'-x,y+1/2,-z'
'x,-y+1/2,z'
loop_
_atom_site_label
_atom_site_type_symbol
_atom_site_fract_x
_atom_site_fract_y
_atom_site_fract_z
Ca1 Ca 0.1314 0.2500 0.0834
Lu1 Lu 0.1068 0.7500 0.4167
Lu2 Lu 0.1469 0.7500 0.7976
S1 S 0.0306 0.2500 0.8805
S2 S 0.0342 0.7500 0.6176
S3 S 0.2181 0.7500 0.2383
S4 S 0.2418 0.2500 0.4726
```

***

[3]
Starting from a cell relaxed with GGA-PBE, the X-ray powder pattern of CaMg3 was computed for a wavelength of 1.5418 Å.
No peak broadening, texture or thermal motion is included.

The 10 most intense peaks (10 to 80 degrees two-theta), sorted by position:
17.2 deg, I = 50, hkl 0 1 1; 30.7 deg, I = 250, hkl 0 0 2; 32.5 deg, I = 267, hkl 0 4 0; 34.8 deg, I = 1000, hkl 1 2 1; 45.3 deg, I = 159, hkl 0 4 2; 54.5 deg, I = 169, hkl 2 0 0; 59.4 deg, I = 190, hkl 1 6 1; 64.9 deg, I = 191, hkl 2 4 0; 66.3 deg, I = 135, hkl 0 2 4; 73.5 deg, I = 34, hkl 2 4 2

Crystal structure
```
data_CaMg3
_symmetry_space_group_name_H-M 'I m m 2'
_symmetry_Int_Tables_number 44
_cell_length_a 3.3678
_cell_length_b 11.0296
_cell_length_c 5.8344
_cell_angle_alpha 90.00
_cell_angle_beta 90.00
_cell_angle_gamma 90.00
loop_
_symmetry_equiv_pos_as_xyz
'x,y,z'
'-x,-y,z'
'-x,y,z'
'x,-y,z'
'x+1/2,y+1/2,z+1/2'
'-x+1/2,-y+1/2,z+1/2'
'-x+1/2,y+1/2,z+1/2'
'x+1/2,-y+1/2,z+1/2'
loop_
_atom_site_label
_atom_site_type_symbol
_atom_site_fract_x
_atom_site_fract_y
_atom_site_fract_z
Ca1 Ca 0.0000 0.0000 0.0000
Mg1 Mg 0.0000 0.2450 0.3377
Mg2 Mg 0.0000 0.5000 0.0064
```

***

[4]
Starting from a cell relaxed with GGA-PBE, the X-ray powder pattern of CaMg15 was computed for a wavelength of 1.5418 Å.
No peak broadening, texture or thermal motion is included.

The 10 most intense peaks (10 to 80 degrees two-theta), sorted by position:
31.6 deg, I = 244, hkl 2 0 0; 34.6 deg, I = 250, hkl 0 0 4; 36.1 deg, I = 1000, hkl 2 0 2; 47.6 deg, I = 148, hkl 2 0 4; 56.3 deg, I = 174, hkl 2 2 0; 63.0 deg, I = 179, hkl 2 0 6; 66.0 deg, I = 26, hkl 4 0 0; 67.8 deg, I = 190, hkl 2 2 4; 68.7 deg, I = 137, hkl 4 0 2; 76.7 deg, I = 32, hkl 4 0 4

Crystal structure
```
data_CaMg15
_symmetry_space_group_name_H-M 'P -6 m 2'
_symmetry_Int_Tables_number 187
_symmetry_space_group_name_Hall 'P -6 2'
_cell_length_a 6.5387
_cell_length_b 6.5387
_cell_length_c 10.3656
_cell_angle_alpha 90.00
_cell_angle_beta 90.00
_cell_angle_gamma 120.00
loop_
_atom_site_label
_atom_site_type_symbol
_atom_site_fract_x
_atom_site_fract_y
_atom_site_fract_z
Ca1 Ca 0.0000 0.0000 0.0000
Mg1 Mg 0.0000 0.0000 0.5000
Mg2 Mg 0.0005 0.5003 0.5000
Mg3 Mg 0.3333 0.6667 0.2478
Mg4 Mg 0.3366 0.1683 0.2551
Mg5 Mg 0.5030 0.0060 0.0000
```

***

[5]
Starting from a cell relaxed with GGA-PBE, the X-ray powder pattern of CaMg2 was computed for a wavelength of 1.5418 Å.
No peak broadening, texture or thermal motion is included.

The 10 most intense peaks (10 to 80 degrees two-theta), sorted by position:
26.4 deg, I = 64, hkl 0 0 5; 29.9 deg, I = 250, hkl 1 0 0; 31.8 deg, I = 307, hkl 0 0 6; 34.0 deg, I = 1000, hkl 1 0 3; 44.2 deg, I = 135, hkl 0 1 6; 53.2 deg, I = 234, hkl 1 1 0; 58.1 deg, I = 125, hkl 1 0 9; 60.3 deg, I = 40, hkl 0 0 11; 63.3 deg, I = 203, hkl 1 1 6; 64.6 deg, I = 136, hkl 0 2 3

Crystal structure
```
data_CaMg2
_symmetry_space_group_name_H-M 'P -3 m 1'
_symmetry_Int_Tables_number 164
_symmetry_space_group_name_Hall '-P 3 2"'
_cell_length_a 3.4451
_cell_length_b 3.4451
_cell_length_c 16.8873
_cell_angle_alpha 90.00
_cell_angle_beta 90.00
_cell_angle_gamma 120.00
loop_
_atom_site_label
_atom_site_type_symbol
_atom_site_fract_x
_atom_site_fract_y
_atom_site_fract_z
Ca1 Ca 0.3333 0.6667 0.4044
Mg1 Mg 0.3333 0.6667 0.0780
Mg2 Mg 0.3333 0.6667 0.7660
```

***

[6]
Starting from a cell relaxed with GGA-PBE, the X-ray powder pattern of CaMg was computed for a wavelength of 1.5418 Å.
No peak broadening, texture or thermal motion is included.

The 10 most intense peaks (10 to 80 degrees two-theta), sorted by position:
25.6 deg, I = 118, hkl 1 0 4; 27.4 deg, I = 190, hkl 0 1 3; 30.2 deg, I = 115, hkl 0 0 6; 31.8 deg, I = 1000, hkl 1 1 3; 32.0 deg, I = 319, hkl 2 0 0; 34.3 deg, I = 282, hkl 1 0 6; 42.7 deg, I = 107, hkl 2 1 3; 57.0 deg, I = 168, hkl 3 1 3; 57.7 deg, I = 105, hkl 2 2 0; 62.3 deg, I = 105, hkl 2 1 9

Crystal structure
```
data_CaMg
_symmetry_space_group_name_H-M 'A m m 2'
_symmetry_Int_Tables_number 38
_cell_length_a 5.5879
_cell_length_b 3.8943
_cell_length_c 17.7749
_cell_angle_alpha 90.00
_cell_angle_beta 90.00
_cell_angle_gamma 90.00
loop_
_symmetry_equiv_pos_as_xyz
'x,y,z'
'-x,-y,z'
'-x,y,z'
'x,-y,z'
'x,y+1/2,z+1/2'
'-x,-y+1/2,z+1/2'
'-x,y+1/2,z+1/2'
'x,-y+1/2,z+1/2'
loop_
_atom_site_label
_atom_site_type_symbol
_atom_site_fract_x
_atom_site_fract_y
_atom_site_fract_z
Ca1 Ca 0.0000 0.0000 0.0000
Ca2 Ca 0.0000 0.0000 0.3043
Ca3 Ca 0.5000 0.0000 0.8684
Mg1 Mg 0.0000 0.0000 0.6513
Mg2 Mg 0.5000 0.0000 0.1886
Mg3 Mg 0.5000 0.0000 0.5452
```

***

[7]
Starting from a cell relaxed with GGA-PBE, the X-ray powder pattern of CaMg was computed for a wavelength of 1.5418 Å.
No peak broadening, texture or thermal motion is included.

The 10 most intense peaks (10 to 80 degrees two-theta), sorted by position:
15.8 deg, I = 85, hkl 0 0 1; 28.1 deg, I = 285, hkl 1 0 0; 31.8 deg, I = 228, hkl 0 0 2; 32.4 deg, I = 1000, hkl 1 0 1; 43.0 deg, I = 165, hkl 1 0 2; 49.7 deg, I = 179, hkl 1 1 0; 57.1 deg, I = 175, hkl 1 0 3; 60.2 deg, I = 192, hkl 1 1 2; 60.6 deg, I = 144, hkl 2 0 1; 79.0 deg, I = 62, hkl 2 0 3

Crystal structure
```
data_CaMg
_symmetry_space_group_name_H-M 'P -6 m 2'
_symmetry_Int_Tables_number 187
_symmetry_space_group_name_Hall 'P -6 2'
_cell_length_a 3.6681
_cell_length_b 3.6681
_cell_length_c 5.6223
_cell_angle_alpha 90.00
_cell_angle_beta 90.00
_cell_angle_gamma 120.00
loop_
_atom_site_label
_atom_site_type_symbol
_atom_site_fract_x
_atom_site_fract_y
_atom_site_fract_z
Ca1 Ca 0.0000 0.0000 0.0000
Mg1 Mg 0.6667 0.3333 0.5000
```

***

[8]
Starting from a cell relaxed with GGA-PBE, the X-ray powder pattern of CaMg2 was computed for a wavelength of 1.5418 Å.
No peak broadening, texture or thermal motion is included.

The 10 most intense peaks (10 to 80 degrees two-theta), sorted by position:
29.7 deg, I = 257, hkl 1 1 1; 31.4 deg, I = 343, hkl 2 0 2; 31.7 deg, I = 599, hkl 4 0 -2; 33.5 deg, I = 1000, hkl 3 1 0; 34.0 deg, I = 922, hkl 1 1 -2; 34.8 deg, I = 254, hkl 4 0 1; 35.8 deg, I = 253, hkl 0 0 3; 44.4 deg, I = 195, hkl 6 0 0; 51.5 deg, I = 165, hkl 0 2 0; 54.9 deg, I = 224, hkl 3 1 3

Crystal structure
```
data_CaMg2
_symmetry_space_group_name_H-M 'C 1 2/m 1'
_symmetry_Int_Tables_number 12
_cell_length_a 12.8335
_cell_length_b 3.5491
_cell_length_c 7.8841
_cell_angle_alpha 90.00
_cell_angle_beta 107.49
_cell_angle_gamma 90.00
loop_
_symmetry_equiv_pos_as_xyz
'x,y,z'
'-x,-y,-z'
'-x,y,-z'
'x,-y,z'
'x+1/2,y+1/2,z'
'-x+1/2,-y+1/2,-z'
'-x+1/2,y+1/2,-z'
'x+1/2,-y+1/2,z'
loop_
_atom_site_label
_atom_site_type_symbol
_atom_site_fract_x
_atom_site_fract_y
_atom_site_fract_z
Ca1 Ca 0.1746 0.0000 0.1354
Mg1 Mg 0.0306 0.5000 0.7724
Mg2 Mg 0.1368 0.0000 0.5325
```

***

[9]
Starting from a cell relaxed with GGA-PBE, the X-ray powder pattern of Ca5Mg was computed for a wavelength of 1.5418 Å.
No peak broadening, texture or thermal motion is included.

The 10 most intense peaks (10 to 80 degrees two-theta), sorted by position:
27.3 deg, I = 239, hkl 1 1 0; 29.0 deg, I = 268, hkl 0 0 2; 31.0 deg, I = 1000, hkl 1 1 1; 40.2 deg, I = 157, hkl 1 1 2; 48.2 deg, I = 173, hkl 3 0 0; 52.6 deg, I = 197, hkl 1 1 3; 57.2 deg, I = 197, hkl 3 0 2; 58.4 deg, I = 138, hkl 2 2 1; 74.1 deg, I = 63, hkl 2 2 3; 79.1 deg, I = 103, hkl 4 1 1

Crystal structure
```
data_Ca5Mg
_symmetry_space_group_name_H-M 'P -6 2 m'
_symmetry_Int_Tables_number 189
_symmetry_space_group_name_Hall 'P -6 -2'
_cell_length_a 6.5367
_cell_length_b 6.5367
_cell_length_c 6.1652
_cell_angle_alpha 90.00
_cell_angle_beta 90.00
_cell_angle_gamma 120.00
loop_
_atom_site_label
_atom_site_type_symbol
_atom_site_fract_x
_atom_site_fract_y
_atom_site_fract_z
Ca1 Ca 0.0000 0.6771 0.0000
Ca2 Ca 0.3333 0.6667 0.5000
Mg1 Mg 0.0000 0.0000 0.5000
```

***

[10]
Starting from a cell relaxed with GGA-PBE, the X-ray powder pattern of CaMg2 was computed for a wavelength of 1.5418 Å.
No peak broadening, texture or thermal motion is included.

The 10 most intense peaks (10 to 80 degrees two-theta), sorted by position:
30.0 deg, I = 212, hkl 1 3 0; 30.6 deg, I = 128, hkl 0 6 0; 31.9 deg, I = 392, hkl 0 0 2; 34.0 deg, I = 1000, hkl 1 3 1; 34.6 deg, I = 436, hkl 0 6 1; 44.3 deg, I = 140, hkl 1 3 2; 54.0 deg, I = 156, hkl 1 9 0; 58.2 deg, I = 193, hkl 1 3 3; 64.0 deg, I = 179, hkl 1 9 2; 64.7 deg, I = 124, hkl 2 6 1

Crystal structure
```
data_CaMg2
_symmetry_space_group_name_H-M 'C m c m'
_symmetry_Int_Tables_number 63
_symmetry_space_group_name_Hall '-C 2c 2'
_cell_length_a 3.4656
_cell_length_b 17.5442
_cell_length_c 5.6184
_cell_angle_alpha 90.00
_cell_angle_beta 90.00
_cell_angle_gamma 90.00
loop_
_atom_site_label
_atom_site_type_symbol
_atom_site_fract_x
_atom_site_fract_y
_atom_site_fract_z
Ca1 Ca 0.0000 0.1082 0.2500
Mg1 Mg 0.0000 0.2197 0.7500
Mg2 Mg 0.0000 0.4420 0.2500
```

***

[11]
Starting from a cell relaxed with GGA-PBE, the X-ray powder pattern of CaMg was computed for a wavelength of 1.5418 Å.
No peak broadening, texture or thermal motion is included.

The 10 most intense peaks (10 to 80 degrees two-theta), sorted by position:
15.7 deg, I = 107, hkl 0 0 3; 30.1 deg, I = 1000, hkl 0 1 2; 31.7 deg, I = 290, hkl 0 0 6; 35.4 deg, I = 635, hkl 1 0 4; 49.9 deg, I = 222, hkl 1 1 0; 51.9 deg, I = 195, hkl 0 1 8; 59.4 deg, I = 126, hkl 2 0 2; 60.3 deg, I = 240, hkl 1 1 6; 62.1 deg, I = 109, hkl 1 0 10; 62.6 deg, I = 106, hkl 0 2 4

Crystal structure
```
data_CaMg
_symmetry_space_group_name_H-M 'R -3 m'
_symmetry_Int_Tables_number 166
_symmetry_space_group_name_Hall '-R 3 2"'
_cell_length_a 3.6575
_cell_length_b 3.6575
_cell_length_c 16.9587
_cell_angle_alpha 90.00
_cell_angle_beta 90.00
_cell_angle_gamma 120.00
loop_
_atom_site_label
_atom_site_type_symbol
_atom_site_fract_x
_atom_site_fract_y
_atom_site_fract_z
Ca1 Ca 0.0000 0.0000 0.0000
Mg1 Mg 0.0000 0.0000 0.5000
```

***

[12]
Starting from a cell relaxed with GGA-PBE, the X-ray powder pattern of CaMg5 was computed for a wavelength of 1.5418 Å.
No peak broadening, texture or thermal motion is included.

The 10 most intense peaks (10 to 80 degrees two-theta), sorted by position:
31.6 deg, I = 237, hkl 1 1 0; 31.9 deg, I = 301, hkl 0 0 6; 35.5 deg, I = 1000, hkl 1 1 3; 45.5 deg, I = 164, hkl 1 1 6; 56.3 deg, I = 163, hkl 3 0 0; 59.2 deg, I = 209, hkl 1 1 9; 66.2 deg, I = 193, hkl 3 0 6; 68.4 deg, I = 131, hkl 2 2 3; 75.2 deg, I = 33, hkl 2 2 6; 75.6 deg, I = 32, hkl 1 1 12

Crystal structure
```
data_CaMg5
_symmetry_space_group_name_H-M 'R 3 2'
_symmetry_Int_Tables_number 155
_symmetry_space_group_name_Hall 'R 3 2"'
_cell_length_a 5.6594
_cell_length_b 5.6594
_cell_length_c 16.8563
_cell_angle_alpha 90.00
_cell_angle_beta 90.00
_cell_angle_gamma 120.00
loop_
_atom_site_label
_atom_site_type_symbol
_atom_site_fract_x
_atom_site_fract_y
_atom_site_fract_z
Ca1 Ca 0.0000 0.0000 0.0000
Mg1 Mg 0.0000 0.0000 0.3341
Mg2 Mg 0.0000 0.6712 0.5000
```